For Pa2VGa8, DFT lattice parameters and positions (GGA-PBE) gives the theoretical XRD peak list in this record (Cu Kα, 1.54184 Å).

Top 10 peaks for 10° ≤ 2θ ≤ 90°, low angle first:
2θ (°)  Rel. int.
20.47  33
31.44  19
33.22  47
37.81  100
39.87  19
41.63  52
59.00  25
60.33  17
73.44  28
73.82  15

Crystal structure
a b c (Å): 4.339 4.339 11.307
angles (deg): 90.00 90.00 90.00
Element x y z (fractional)
Pa 0.000 0.000 0.192
Pa 0.000 0.000 0.808
V 0.000 0.000 0.500
Ga 0.000 0.500 0.000
Ga 0.000 0.500 0.377
Ga 0.000 0.500 0.623
Ga 0.500 0.000 0.000
Ga 0.500 0.000 0.377
Ga 0.500 0.000 0.623
Ga 0.500 0.500 0.187
Ga 0.500 0.500 0.813

=====

For Dy8Sc2Hg, DFT lattice parameters and positions (GGA-PBE) gives the theoretical XRD peak list in this record (Cu Kα, 1.54184 Å).

Top 10 peaks for 10° ≤ 2θ ≤ 90°, low angle first:
2θ (°)  Rel. int.
23.01  14
31.28  67
32.57  100
33.81  37
33.98  49
34.72  30
34.87  18
49.37  22
49.48  14
59.92  18

Crystal structure
a b c (Å): 8.907 8.907 7.939
angles (deg): 113.68 113.68 34.46
Element x y z (fractional)
Dy 0.018 0.018 0.231
Dy 0.168 0.168 0.714
Dy 0.332 0.332 0.590
Dy 0.386 0.386 0.066
Dy 0.614 0.614 0.934
Dy 0.668 0.668 0.410
Dy 0.832 0.832 0.286
Dy 0.982 0.982 0.769
Sc 0.197 0.197 0.152
Sc 0.803 0.803 0.848
Hg 0.500 0.500 0.500